Structure and calculated powder XRD pattern of TbNdDyEr2 (a PBE-relaxed structure; Cu Kα).

```
TbNdDyEr2
1.0
4.189 -5.730 0.000
4.189 5.730 0.000
0.000 0.000 7.181
Tb Nd Dy Er
2 2 2 4
Direct
0.002 0.998 0.750
0.998 0.002 0.250
0.273 0.727 0.750
0.727 0.273 0.250
0.277 0.723 0.250
0.723 0.277 0.750
0.311 0.311 0.000
0.311 0.311 0.500
0.689 0.689 0.000
0.689 0.689 0.500
```

Main lines, by intensity (15° ≤ 2θ ≤ 90°):
- 2θ = 32.85°, 2.726 Å, I 100
- 2θ = 45.95°, 1.975 Å, I 66
- 2θ = 31.22°, 2.865 Å, I 63
- 2θ = 29.36°, 3.043 Å, I 59
- 2θ = 35.96°, 2.497 Å, I 56
- 2θ = 26.36°, 3.381 Å, I 49
- 2θ = 39.99°, 2.254 Å, I 43
- 2θ = 66.21°, 1.411 Å, I 34
- 2θ = 33.02°, 2.713 Å, I 34
- 2θ = 28.14°, 3.171 Å, I 33
- 2θ = 15.46°, 5.730 Å, I 25
- 2θ = 66.59°, 1.404 Å, I 19


Structure and calculated powder XRD pattern of TbNdDy4Er2 (a PBE-relaxed structure; Cu Kα).

```
TbNdDy4Er2
1.0
6.785 -6.623 0.000
6.785 6.623 0.000
-3.390 0.000 5.875
Tb Nd Dy Er
2 2 8 4
Direct
0.000 0.000 0.000
0.000 0.000 0.500
0.000 0.500 0.000
0.500 0.000 0.500
0.249 0.254 0.502
0.252 0.748 0.502
0.252 0.748 0.998
0.254 0.249 0.002
0.746 0.751 0.998
0.748 0.252 0.002
0.748 0.252 0.498
0.751 0.746 0.498
0.000 0.500 0.500
0.500 0.000 0.000
0.500 0.500 0.000
0.500 0.500 0.500
```

Main lines, by intensity (15° ≤ 2θ ≤ 90°):
- 2θ = 30.43°, 2.938 Å, I 100
- 2θ = 41.08°, 2.197 Å, I 89
- 2θ = 26.93°, 3.311 Å, I 46
- 2θ = 61.42°, 1.510 Å, I 27
- 2θ = 64.62°, 1.442 Å, I 23
- 2θ = 54.07°, 1.696 Å, I 20
- 2θ = 70.09°, 1.343 Å, I 18
- 2θ = 63.32°, 1.469 Å, I 12
- 2θ = 81.19°, 1.185 Å, I 12
- 2θ = 87.95°, 1.110 Å, I 10
- 2θ = 89.12°, 1.099 Å, I 10
- 2θ = 55.50°, 1.656 Å, I 6


Structure and calculated powder XRD pattern of Tb2NdDyEr6 (a PBE-relaxed structure; Cu Kα).

```
Tb2NdDyEr6
1.0
4.509 -7.484 0.000
4.509 7.484 0.000
-1.226 0.000 9.431
Tb Nd Dy Er
4 2 2 12
Direct
0.197 0.302 0.046
0.302 0.197 0.546
0.698 0.803 0.454
0.803 0.698 0.954
0.024 0.976 0.250
0.976 0.024 0.750
0.409 0.591 0.750
0.591 0.409 0.250
0.020 0.568 0.183
0.124 0.747 0.558
0.253 0.876 0.942
0.292 0.508 0.382
0.432 0.980 0.317
0.492 0.708 0.118
0.508 0.292 0.882
0.568 0.020 0.683
0.708 0.492 0.618
0.747 0.124 0.058
0.876 0.253 0.442
0.980 0.432 0.817
```

Main lines, by intensity (15° ≤ 2θ ≤ 90°):
- 2θ = 30.86°, 2.898 Å, I 100
- 2θ = 31.65°, 2.827 Å, I 60
- 2θ = 34.11°, 2.629 Å, I 47
- 2θ = 31.52°, 2.839 Å, I 44
- 2θ = 28.76°, 3.104 Å, I 35
- 2θ = 31.84°, 2.811 Å, I 35
- 2θ = 32.57°, 2.750 Å, I 18
- 2θ = 34.83°, 2.576 Å, I 14
- 2θ = 28.31°, 3.152 Å, I 13
- 2θ = 56.70°, 1.623 Å, I 12
- 2θ = 51.13°, 1.786 Å, I 12
- 2θ = 54.18°, 1.693 Å, I 11


Structure and calculated powder XRD pattern of TbNd2DyEr2 (a PBE-relaxed structure; Cu Kα).

```
TbNd2DyEr2
1.0
7.001 0.000 0.000
0.000 5.656 0.000
0.000 0.000 9.799
Tb Nd Dy Er
2 4 2 4
Direct
0.000 0.000 0.000
0.500 0.000 0.000
0.000 0.500 0.500
0.250 0.000 0.326
0.500 0.500 0.500
0.750 0.000 0.674
0.250 0.500 0.838
0.750 0.500 0.162
0.250 0.000 0.664
0.250 0.500 0.167
0.750 0.000 0.336
0.750 0.500 0.833
```

Main lines, by intensity (15° ≤ 2θ ≤ 90°):
- 2θ = 31.63°, 2.829 Å, I 100
- 2θ = 31.41°, 2.848 Å, I 89
- 2θ = 56.20°, 1.637 Å, I 34
- 2θ = 45.18°, 2.007 Å, I 33
- 2θ = 62.39°, 1.488 Å, I 29
- 2θ = 56.34°, 1.633 Å, I 19
- 2θ = 74.98°, 1.267 Å, I 15
- 2θ = 80.43°, 1.194 Å, I 14
- 2θ = 41.02°, 2.200 Å, I 12
- 2θ = 66.06°, 1.414 Å, I 12
- 2θ = 88.98°, 1.100 Å, I 11
- 2θ = 52.27°, 1.750 Å, I 8


Number 3 is which compound?
Tb2NdDyEr6